The following is a computed PXRD pattern of Cs2MnV2Br2O6. It was derived from a DFT-relaxed cell (PBE+U, Alexandria), using CuKα.

Most intense lines, 2θ = 15–90°, in order of rising 2θ:
2θ (°)	I (rel.)
21.9	17
24.7	43
26.1	100
29.3	19
29.7	33
31.1	37
40.1	26
43.5	21
50.5	12
52.3	14

Crystal structure
```
Cs2MnV2Br2O6
1.0
2.8801 -8.9918 0.0000
2.8801 8.9918 0.0000
0.0000 0.0000 6.0228
Cs Mn V Br O
2 1 2 2 6
direct
0.1336 0.8664 0.0000
0.8664 0.1336 0.0000
0.5000 0.5000 0.5110
0.3001 0.6999 0.5117
0.6999 0.3001 0.5117
0.0000 0.0000 0.5265
0.5000 0.5000 0.0792
0.0000 0.5000 0.6217
0.2971 0.7029 0.2376
0.3898 0.6102 0.6035
0.5000 0.0000 0.6217
0.6102 0.3898 0.6035
0.7029 0.2971 0.2376
```